# Al2CdIn
Computed powder XRD pattern, a wavelength of 1.5418 Å. Input: DFT lattice parameters and positions (PBE).
Peak positions follow from Bragg's law for the DFT cell and can differ from measured ones.

Peak list (10 most intense, 10° ≤ 2θ ≤ 90°, in order of rising 2θ)
16.24 deg, d 5.459, intensity 808, hkl 0 0 2
32.81 deg, d 2.730, intensity 391, hkl 0 0 4
33.33 deg, d 2.688, intensity 375, hkl 0 2 0
34.70 deg, d 2.585, intensity 259, hkl 1 1 0
37.29 deg, d 2.412, intensity 213, hkl 0 2 2
38.53 deg, d 2.336, intensity 1000, hkl 1 1 2
47.47 deg, d 1.915, intensity 270, hkl 0 2 4
48.50 deg, d 1.877, intensity 197, hkl 1 1 4
62.41 deg, d 1.488, intensity 230, hkl 1 1 6
63.05 deg, d 1.474, intensity 280, hkl 2 0 0

Cell: 2.9481 5.3762 10.9189 Å, 90.00 90.00 90.00°
Space group Cmmm (No. 65)
Asymmetric unit:
Al (0.0000, 0.0000, 0.2450) (multiplicity 4)
Cd (0.0000, 0.5000, 0.0000) (multiplicity 2)
In (0.0000, 0.5000, 0.5000) (multiplicity 2)



# Al2Cd2In
Computed powder XRD pattern, a wavelength of 1.5418 Å. Input: DFT lattice parameters and positions (PBE).
Peak positions follow from Bragg's law for the DFT cell and can differ from measured ones.

Peak list (10 most intense, 10° ≤ 2θ ≤ 90°, in order of rising 2θ)
23.06 deg, d 3.857, intensity 645, hkl 2 1 0
29.29 deg, d 3.049, intensity 565, hkl 2 2 0
32.84 deg, d 2.727, intensity 937, hkl 3 1 0
33.39 deg, d 2.683, intensity 265, hkl 1 1 1
36.59 deg, d 2.456, intensity 1000, hkl 2 0 1
38.10 deg, d 2.362, intensity 869, hkl 2 1 1
43.25 deg, d 2.092, intensity 383, hkl 4 1 0
53.47 deg, d 1.714, intensity 327, hkl 4 1 1
54.61 deg, d 1.681, intensity 387, hkl 3 3 1
63.17 deg, d 1.472, intensity 279, hkl 5 1 1

Cell: 8.6242 8.6242 2.9880 Å, 90.00 90.00 90.00°
Space group P4/mbm (No. 127)
Asymmetric unit:
Al (0.1133, 0.3867, 0.0000) (multiplicity 4)
Cd (0.1820, 0.6820, 0.5000) (multiplicity 4)
In (0.0000, 0.0000, 0.0000) (multiplicity 2)



# Al4CdIr
Computed powder XRD pattern, a wavelength of 1.5418 Å. Input: DFT lattice parameters and positions (PBE).
Peak positions follow from Bragg's law for the DFT cell and can differ from measured ones.

Peak list (10 most intense, 10° ≤ 2θ ≤ 90°, in order of rising 2θ)
21.01 deg, d 4.229, intensity 681, hkl 1 1 1
34.63 deg, d 2.590, intensity 972, hkl 2 2 0
40.86 deg, d 2.209, intensity 1000, hkl 3 1 1
54.61 deg, d 1.681, intensity 165, hkl 3 3 1
62.07 deg, d 1.495, intensity 355, hkl 4 2 2
66.30 deg, d 1.410, intensity 316, hkl 3 3 3
73.07 deg, d 1.295, intensity 200, hkl 4 4 0
77.01 deg, d 1.238, intensity 122, hkl 5 3 1
83.46 deg, d 1.158, intensity 156, hkl 6 2 0
87.28 deg, d 1.117, intensity 115, hkl 5 3 3

Cell: 7.3253 7.3253 7.3253 Å, 90.00 90.00 90.00°
Space group F-43m (No. 216)
Asymmetric unit:
Al (0.1243, 0.1243, 0.3757) (multiplicity 16)
Cd (0.0000, 0.0000, 0.0000) (multiplicity 4)
Ir (0.2500, 0.2500, 0.7500) (multiplicity 4)



# La2Al7Cd
Computed powder XRD pattern, a wavelength of 1.5418 Å. Input: DFT lattice parameters and positions (PBE).
Peak positions follow from Bragg's law for the DFT cell and can differ from measured ones.

Peak list (10 most intense, 10° ≤ 2θ ≤ 90°, in order of rising 2θ)
21.66 deg, d 4.103, intensity 523, hkl 1 0 1
31.37 deg, d 2.852, intensity 563, hkl 1 0 3
31.91 deg, d 2.805, intensity 153, hkl 0 0 4
32.87 deg, d 2.725, intensity 1000, hkl 1 1 2
40.94 deg, d 2.204, intensity 384, hkl 2 0 0
45.35 deg, d 2.000, intensity 247, hkl 1 0 5
52.47 deg, d 1.744, intensity 260, hkl 2 1 3
57.47 deg, d 1.603, intensity 152, hkl 1 1 6
62.74 deg, d 1.481, intensity 186, hkl 2 1 5
69.48 deg, d 1.353, intensity 221, hkl 3 1 2

Cell: 4.4083 4.4083 11.2187 Å, 90.00 90.00 90.00°
Space group P-4m2 (No. 115)
Asymmetric unit:
La (0.0000, 0.5000, 0.2454) (multiplicity 2)
Al (0.0000, 0.0000, 0.0000) (multiplicity 1)
Al (0.0000, 0.5000, 0.6400) (multiplicity 2)
Al (0.0000, 0.5000, 0.8668) (multiplicity 2)
Al (0.5000, 0.5000, 0.0000) (multiplicity 1)
Al (0.5000, 0.5000, 0.5000) (multiplicity 1)
Cd (0.0000, 0.0000, 0.5000) (multiplicity 1)



Please write out number 2 again, unchanged.
# Al2Cd2In
Computed powder XRD pattern, a wavelength of 1.5418 Å. Input: DFT lattice parameters and positions (PBE).
Peak positions follow from Bragg's law for the DFT cell and can differ from measured ones.

Peak list (10 most intense, 10° ≤ 2θ ≤ 90°, in order of rising 2θ)
23.06 deg, d 3.857, intensity 645, hkl 2 1 0
29.29 deg, d 3.049, intensity 565, hkl 2 2 0
32.84 deg, d 2.727, intensity 937, hkl 3 1 0
33.39 deg, d 2.683, intensity 265, hkl 1 1 1
36.59 deg, d 2.456, intensity 1000, hkl 2 0 1
38.10 deg, d 2.362, intensity 869, hkl 2 1 1
43.25 deg, d 2.092, intensity 383, hkl 4 1 0
53.47 deg, d 1.714, intensity 327, hkl 4 1 1
54.61 deg, d 1.681, intensity 387, hkl 3 3 1
63.17 deg, d 1.472, intensity 279, hkl 5 1 1

Cell: 8.6242 8.6242 2.9880 Å, 90.00 90.00 90.00°
Space group P4/mbm (No. 127)
Asymmetric unit:
Al (0.1133, 0.3867, 0.0000) (multiplicity 4)
Cd (0.1820, 0.6820, 0.5000) (multiplicity 4)
In (0.0000, 0.0000, 0.0000) (multiplicity 2)